Entry 1:
Diffraction record for Tm3Pd5. The powder diffraction line list is theoretical, not measured: it uses a cell relaxed with PBE and Cu Kα X-rays.
Peak positions follow from Bragg's law for the DFT cell and can differ from measured ones.

Main lines, in order of rising 2θ (2θ from 15° to 90°):
two_theta  I/Imax
32.13  13.8
33.52  12.5
37.45  100.0
38.07  30.7
39.61  35.5
43.34  23.0
56.11  17.8
64.79  11.3
68.39  10.9
77.21  10.6

```
Tm3Pd5
1.0
4.5467 -3.5302 0.0000
4.5467 3.5302 0.0000
0.0000 0.0000 9.4544
Tm Pd
6 10
direct
0.1087 0.8913 0.7500
0.2954 0.2954 0.0000
0.2954 0.2954 0.5000
0.7046 0.7046 0.0000
0.7046 0.7046 0.5000
0.8913 0.1087 0.2500
0.0022 0.4489 0.7500
0.1934 0.8066 0.0426
0.1934 0.8066 0.4574
0.4489 0.0022 0.2500
0.4923 0.5077 0.2500
0.5077 0.4923 0.7500
0.5511 0.9978 0.7500
0.8066 0.1934 0.5426
0.8066 0.1934 0.9574
0.9978 0.5511 0.2500
```

Entry 2:
Diffraction record for Cs2AlHgI6. The powder diffraction line list is theoretical, not measured: it uses a cell relaxed with PBE and Cu Kα X-rays.
Peak positions follow from Bragg's law for the DFT cell and can differ from measured ones.

Main lines, in order of rising 2θ (2θ from 15° to 90°):
two_theta  I/Imax
24.60  16.4
25.68  57.7
25.96  20.0
29.82  100.0
32.45  12.3
42.51  34.0
42.86  36.0
50.48  14.1
52.79  16.9
70.52  14.2

```
Cs2AlHgI6
1.0
4.2536 2.4558 6.8636
-4.2536 2.4558 6.8636
0.0000 -4.9116 6.8636
Cs Al Hg I
2 1 1 6
direct
0.2504 0.2504 0.2504
0.7496 0.7496 0.7496
0.0000 0.0000 0.0000
0.5000 0.5000 0.5000
0.2124 0.2563 0.7682
0.2318 0.7876 0.7437
0.2563 0.7682 0.2124
0.7437 0.2318 0.7876
0.7682 0.2124 0.2563
0.7876 0.7437 0.2318
```

Entry 3:
Diffraction record for CuAg4. The powder diffraction line list is theoretical, not measured: it uses a cell relaxed with PBE and Cu Kα X-rays.
Peak positions follow from Bragg's law for the DFT cell and can differ from measured ones.

Main lines, in order of rising 2θ (2θ from 15° to 90°):
two_theta  I/Imax
38.29  100.0
44.20  16.4
44.45  16.4
44.87  15.2
64.49  10.0
64.81  9.5
77.37  11.4
77.73  11.5
78.33  10.5
81.99  9.6

```
CuAg4
1.0
6.3977 0.0000 0.0000
0.0000 4.0761 0.0000
-0.0568 0.0000 6.4695
Cu Ag
2 8
direct
0.0472 0.2500 0.3563
0.9528 0.7500 0.6437
0.1466 0.7500 0.0476
0.2393 0.2500 0.7389
0.3346 0.7500 0.4489
0.4445 0.2500 0.1529
0.5555 0.7500 0.8471
0.6654 0.2500 0.5511
0.7607 0.7500 0.2611
0.8534 0.2500 0.9524
```

Entry 4:
Diffraction record for ReHg2O5. The powder diffraction line list is theoretical, not measured: it uses a cell relaxed with PBE and Cu Kα X-rays.
Peak positions follow from Bragg's law for the DFT cell and can differ from measured ones.

Main lines, in order of rising 2θ (2θ from 15° to 90°):
two_theta  I/Imax
23.17  100.0
23.80  78.2
24.45  66.3
24.76  47.9
25.26  78.0
27.37  52.8
27.82  59.8
32.42  52.9
32.64  50.2
32.95  59.5

```
ReHg2O5
1.0
7.9215 0.0000 0.0000
-0.1488 8.9480 0.0000
-1.9467 -3.6254 8.0344
Re Hg O
4 8 20
direct
0.1001 0.2525 0.0415
0.2737 0.6480 0.5011
0.7263 0.3520 0.4989
0.8999 0.7475 0.9585
0.0000 0.0000 0.5000
0.3067 0.3236 0.6900
0.3430 0.9682 0.3072
0.3713 0.6075 0.9338
0.5000 0.0000 0.0000
0.6287 0.3925 0.0662
0.6570 0.0318 0.6928
0.6933 0.6764 0.3100
0.0137 0.1661 0.8245
0.0562 0.6802 0.4441
0.0709 0.7020 0.8595
0.2187 0.1101 0.0976
0.2349 0.4329 0.0961
0.2561 0.0667 0.5212
0.2893 0.4386 0.4466
0.3529 0.7550 0.7173
0.4003 0.7264 0.4040
0.4729 0.8518 0.1247
0.5271 0.1482 0.8753
0.5997 0.2736 0.5960
0.6471 0.2450 0.2827
0.7107 0.5614 0.5534
0.7439 0.9333 0.4788
0.7651 0.5671 0.9039
0.7813 0.8899 0.9024
0.9291 0.2980 0.1405
0.9438 0.3198 0.5559
0.9863 0.8339 0.1755
```

Entry 5:
Diffraction record for RbFeAs. The powder diffraction line list is theoretical, not measured: it uses a cell relaxed with PBE and Cu Kα X-rays.
Peak positions follow from Bragg's law for the DFT cell and can differ from measured ones.

Main lines, in order of rising 2θ (2θ from 15° to 90°):
two_theta  I/Imax
22.83  18.5
26.42  28.5
37.72  100.0
44.54  8.7
46.64  8.1
54.40  16.7
61.47  10.9
68.09  33.3
80.55  10.4
86.57  5.6

```
RbFeAs
1.0
6.7461 0.0000 0.0000
0.0000 6.7461 0.0000
0.0000 0.0000 6.7461
Rb Fe As
4 4 4
direct
0.0000 0.0000 0.0000
0.0000 0.5000 0.5000
0.5000 0.0000 0.5000
0.5000 0.5000 0.0000
0.2500 0.2500 0.7500
0.2500 0.7500 0.2500
0.7500 0.2500 0.2500
0.7500 0.7500 0.7500
0.0000 0.0000 0.5000
0.0000 0.5000 0.0000
0.5000 0.0000 0.0000
0.5000 0.5000 0.5000
```

Entry 6:
Diffraction record for AlInTcH6. The powder diffraction line list is theoretical, not measured: it uses a cell relaxed with PBE and Cu Kα X-rays.
Peak positions follow from Bragg's law for the DFT cell and can differ from measured ones.

Main lines, in order of rising 2θ (2θ from 15° to 90°):
two_theta  I/Imax
23.19  76.4
26.84  3.5
38.32  100.0
45.27  38.5
55.31  17.8
60.77  15.6
69.28  33.8
74.16  11.3
82.05  10.9
86.70  11.5

```
AlInTcH6
1.0
0.0000 3.3219 3.3219
3.3219 0.0000 3.3219
3.3219 3.3219 0.0000
Al In Tc H
1 1 1 6
direct
0.0000 0.0000 0.0000
0.5000 0.5000 0.5000
0.7500 0.7500 0.7500
0.0149 0.0149 0.4851
0.0149 0.4851 0.0149
0.0149 0.4851 0.4851
0.4851 0.0149 0.0149
0.4851 0.0149 0.4851
0.4851 0.4851 0.0149
```

Entry 7:
Diffraction record for Hg2Au7. The powder diffraction line list is theoretical, not measured: it uses a cell relaxed with PBE and Cu Kα X-rays.
Peak positions follow from Bragg's law for the DFT cell and can differ from measured ones.

Main lines, in order of rising 2θ (2θ from 15° to 90°):
two_theta  I/Imax
34.74  23.2
37.45  100.0
37.74  22.3
38.49  31.7
42.74  56.8
44.48  31.9
62.87  19.2
63.84  28.5
74.76  15.7
76.59  17.7

```
Hg2Au7
1.0
2.9168 0.0000 0.0000
-1.4584 2.5260 0.0000
0.0000 0.0000 30.9888
Hg Au
2 7
direct
0.3333 0.6667 0.1751
0.6667 0.3333 0.8249
0.0000 0.0000 0.2655
0.0000 0.0000 0.5000
0.0000 0.0000 0.7345
0.3333 0.6667 0.4223
0.3333 0.6667 0.6557
0.6667 0.3333 0.3443
0.6667 0.3333 0.5777
```

Entry 8:
Diffraction record for CsLa2AgSe4. The powder diffraction line list is theoretical, not measured: it uses a cell relaxed with PBE and Cu Kα X-rays.
Peak positions follow from Bragg's law for the DFT cell and can differ from measured ones.

Main lines, in order of rising 2θ (2θ from 15° to 90°):
two_theta  I/Imax
21.11  23.4
26.24  18.6
27.50  68.6
29.36  100.0
31.71  16.2
35.39  23.7
40.06  22.1
40.20  21.2
40.34  47.5
40.81  35.5

```
CsLa2AgSe4
1.0
2.2113 -7.5348 0.0000
2.2113 7.5348 0.0000
0.0000 0.0000 15.2174
Cs La Ag Se
2 4 2 8
direct
0.1131 0.8869 0.7500
0.8869 0.1131 0.2500
0.3677 0.6323 0.5634
0.3677 0.6323 0.9366
0.6323 0.3677 0.0634
0.6323 0.3677 0.4366
0.1642 0.8358 0.2500
0.8358 0.1642 0.7500
0.0000 0.0000 0.0000
0.0000 0.0000 0.5000
0.2603 0.7397 0.1032
0.2603 0.7397 0.3968
0.4329 0.5671 0.7500
0.5671 0.4329 0.2500
0.7397 0.2603 0.6032
0.7397 0.2603 0.8968
```